# 1
For CeMn2Ge2P, a crystal structure in Alexandria, relaxed with GGA-PBE gives the computed PXRD pattern in this record (Cu Kα).
Intensities are scaled so that the largest is 100.

Crystal structure
a b c (Å): 4.3463 4.3463 5.5275
angles (deg): 90.00 90.00 90.00
Sites, in units of the cell vectors:
Ce: 0.0000 0.0000 0.0000
Mn: 0.0000 0.5000 0.5000
Mn: 0.5000 0.0000 0.5000
Ge: 0.5000 0.5000 0.2313
Ge: 0.5000 0.5000 0.7687
P: 0.0000 0.0000 0.5000

Most intense lines, 15 to 90 degrees two-theta, low angle first:
2θ 26.1, d 3.417, rel. 23
2θ 29.1, d 3.073, rel. 47
2θ 33.4, d 2.686, rel. 85
2θ 38.6, d 2.332, rel. 100
2θ 41.6, d 2.173, rel. 75
2θ 54.1, d 1.696, rel. 10
2θ 58.0, d 1.590, rel. 60
2θ 60.2, d 1.537, rel. 24
2θ 70.6, d 1.334, rel. 18
2θ 73.9, d 1.283, rel. 14
2θ 82.8, d 1.166, rel. 18
2θ 88.5, d 1.105, rel. 19



# 2
For Ce4Ge8Mo, a crystal structure in Alexandria, relaxed with GGA-PBE gives the computed PXRD pattern in this record (Cu Kα).
Intensities are scaled so that the largest is 100.

Crystal structure
a b c (Å): 4.0521 4.2152 16.7053
angles (deg): 90.00 90.00 90.00
Sites, in units of the cell vectors:
Ce: 0.0000 0.0000 0.0000
Ce: 0.0000 0.5000 0.4815
Ce: 0.5000 0.0000 0.7777
Ce: 0.5000 0.5000 0.2772
Ge: 0.0000 0.0000 0.3272
Ge: 0.0000 0.0000 0.6143
Ge: 0.0000 0.5000 0.1370
Ge: 0.0000 0.5000 0.8558
Ge: 0.5000 0.0000 0.1407
Ge: 0.5000 0.0000 0.4274
Ge: 0.5000 0.5000 0.6115
Ge: 0.5000 0.5000 0.9520
Mo: 0.0000 0.5000 0.7045

Most intense lines, 15 to 90 degrees two-theta, low angle first:
2θ 24.4, d 3.646, rel. 11
2θ 26.5, d 3.361, rel. 10
2θ 32.1, d 2.784, rel. 10
2θ 34.2, d 2.618, rel. 20
2θ 34.7, d 2.587, rel. 100
2θ 39.3, d 2.295, rel. 18
2θ 42.9, d 2.108, rel. 22
2θ 44.7, d 2.026, rel. 19
2θ 59.6, d 1.552, rel. 11
2θ 63.7, d 1.461, rel. 13
2θ 73.3, d 1.291, rel. 11
2θ 75.9, d 1.253, rel. 10



# 3
For Ce2Pa4Ge3N2, a crystal structure in Alexandria, relaxed with GGA-PBE gives the computed PXRD pattern in this record (Cu Kα).
Intensities are scaled so that the largest is 100.

Crystal structure
a b c (Å): 12.3501 12.3501 12.3501
angles (deg): 158.56 158.56 30.51
Sites, in units of the cell vectors:
Ce: 0.1988 0.1988 0.0000
Ce: 0.8012 0.8012 0.0000
Pa: 0.0820 0.5820 0.5000
Pa: 0.4180 0.9180 0.5000
Pa: 0.5820 0.0820 0.5000
Pa: 0.9180 0.4180 0.5000
Ge: 0.3295 0.3295 0.0000
Ge: 0.5000 0.5000 0.0000
Ge: 0.6705 0.6705 0.0000
N: 0.0883 0.0883 0.0000
N: 0.9117 0.9117 0.0000

Most intense lines, 15 to 90 degrees two-theta, low angle first:
2θ 22.4, d 3.973, rel. 26
2θ 28.5, d 3.135, rel. 58
2θ 30.0, d 2.979, rel. 16
2θ 31.4, d 2.853, rel. 24
2θ 35.7, d 2.515, rel. 100
2θ 39.2, d 2.297, rel. 57
2θ 45.6, d 1.988, rel. 23
2θ 50.1, d 1.819, rel. 16
2θ 54.1, d 1.694, rel. 16
2θ 56.7, d 1.625, rel. 20
2θ 61.7, d 1.503, rel. 18
2θ 68.8, d 1.365, rel. 31



# 4
For Ce4Nd3Ge4, a crystal structure in Alexandria, relaxed with GGA-PBE gives the computed PXRD pattern in this record (Cu Kα).
Intensities are scaled so that the largest is 100.

Crystal structure
a b c (Å): 9.9424 9.9424 9.9424
angles (deg): 157.04 129.06 56.57
Sites, in units of the cell vectors:
Ce: 0.0078 0.1705 0.8373
Ce: 0.3332 0.1705 0.1627
Ce: 0.6668 0.8295 0.8373
Ce: 0.9922 0.8295 0.1627
Nd: 0.0000 0.5000 0.5000
Nd: 0.4048 0.4048 0.0000
Nd: 0.5952 0.5952 0.0000
Ge: 0.2743 0.7743 0.5000
Ge: 0.2764 0.0000 0.2764
Ge: 0.7236 0.0000 0.7236
Ge: 0.7257 0.2257 0.5000

Most intense lines, 15 to 90 degrees two-theta, low angle first:
2θ 27.2, d 3.276, rel. 56
2θ 27.5, d 3.241, rel. 40
2θ 31.2, d 2.865, rel. 100
2θ 32.2, d 2.777, rel. 92
2θ 34.2, d 2.623, rel. 54
2θ 35.0, d 2.561, rel. 76
2θ 37.3, d 2.410, rel. 29
2θ 40.3, d 2.236, rel. 29
2θ 45.9, d 1.979, rel. 37
2θ 50.3, d 1.813, rel. 42
2θ 59.0, d 1.566, rel. 34
2θ 67.0, d 1.396, rel. 26



# 5
For CeNd3Ge3, a crystal structure in Alexandria, relaxed with GGA-PBE gives the computed PXRD pattern in this record (Cu Kα).
Intensities are scaled so that the largest is 100.

Crystal structure
a b c (Å): 9.1121 9.1121 5.9554
angles (deg): 90.00 90.00 120.00
Sites, in units of the cell vectors:
Ce: 0.3333 0.6667 0.2500
Ce: 0.6667 0.3333 0.7500
Nd: 0.0207 0.6954 0.7500
Nd: 0.3046 0.3253 0.7500
Nd: 0.3253 0.0207 0.2500
Nd: 0.6747 0.9793 0.7500
Nd: 0.6954 0.6747 0.2500
Nd: 0.9793 0.3046 0.2500
Ge: 0.0010 0.6509 0.2500
Ge: 0.3491 0.3501 0.2500
Ge: 0.3501 0.0010 0.7500
Ge: 0.6499 0.9990 0.2500
Ge: 0.6509 0.6499 0.7500
Ge: 0.9990 0.3491 0.7500

Most intense lines, 15 to 90 degrees two-theta, low angle first:
2θ 18.7, d 4.754, rel. 14
2θ 19.5, d 4.556, rel. 24
2θ 24.6, d 3.619, rel. 23
2θ 27.1, d 3.289, rel. 21
2θ 30.0, d 2.978, rel. 57
2θ 33.6, d 2.667, rel. 19
2θ 34.1, d 2.630, rel. 100
2θ 46.0, d 1.971, rel. 86
2θ 61.0, d 1.519, rel. 15
2θ 69.5, d 1.353, rel. 20
2θ 73.0, d 1.296, rel. 22
2θ 79.7, d 1.203, rel. 13



# 6
For Ce2Nd4Ge3O2, a crystal structure in Alexandria, relaxed with GGA-PBE gives the computed PXRD pattern in this record (Cu Kα).
Intensities are scaled so that the largest is 100.

Crystal structure
a b c (Å): 12.7259 12.7259 12.7259
angles (deg): 158.57 158.57 30.49
Sites, in units of the cell vectors:
Ce: 0.1984 0.1984 0.0000
Ce: 0.8016 0.8016 0.0000
Nd: 0.0796 0.5796 0.5000
Nd: 0.4204 0.9204 0.5000
Nd: 0.5796 0.0796 0.5000
Nd: 0.9204 0.4204 0.5000
Ge: 0.3246 0.3246 0.0000
Ge: 0.5000 0.5000 0.0000
Ge: 0.6754 0.6754 0.0000
O: 0.1045 0.1045 0.0000
O: 0.8955 0.8955 0.0000

Most intense lines, 15 to 90 degrees two-theta, low angle first:
2θ 21.7, d 4.095, rel. 21
2θ 27.6, d 3.228, rel. 70
2θ 29.1, d 3.070, rel. 22
2θ 30.4, d 2.938, rel. 19
2θ 31.8, d 2.818, rel. 16
2θ 34.6, d 2.590, rel. 100
2θ 38.0, d 2.366, rel. 66
2θ 44.2, d 2.048, rel. 14
2θ 48.6, d 1.874, rel. 21
2θ 54.9, d 1.673, rel. 23
2θ 62.5, d 1.485, rel. 14
2θ 66.5, d 1.405, rel. 30



# 7
For Ce2NdGe3Rh4, a crystal structure in Alexandria, relaxed with GGA-PBE gives the computed PXRD pattern in this record (Cu Kα).
Intensities are scaled so that the largest is 100.

Crystal structure
a b c (Å): 4.1958 4.1958 11.3541
angles (deg): 90.00 90.00 90.00
Sites, in units of the cell vectors:
Ce: 0.0000 0.5000 0.2275
Ce: 0.5000 0.0000 0.7725
Nd: 0.0000 0.0000 0.5000
Ge: 0.0000 0.5000 0.8814
Ge: 0.5000 0.0000 0.1186
Ge: 0.5000 0.5000 0.5000
Rh: 0.0000 0.0000 0.0000
Rh: 0.0000 0.5000 0.6665
Rh: 0.5000 0.0000 0.3335
Rh: 0.5000 0.5000 0.0000

Most intense lines, 15 to 90 degrees two-theta, low angle first:
2θ 31.5, d 2.839, rel. 8
2θ 31.8, d 2.810, rel. 28
2θ 34.1, d 2.629, rel. 100
2θ 38.3, d 2.351, rel. 15
2θ 43.1, d 2.098, rel. 47
2θ 44.2, d 2.051, rel. 16
2θ 45.4, d 1.997, rel. 17
2θ 54.6, d 1.681, rel. 12
2θ 59.0, d 1.565, rel. 9
2θ 62.6, d 1.483, rel. 15
2θ 64.4, d 1.446, rel. 12
2θ 73.3, d 1.292, rel. 21



# 8
For Ce2NiGe3, a crystal structure in Alexandria, relaxed with GGA-PBE gives the computed PXRD pattern in this record (Cu Kα).
Intensities are scaled so that the largest is 100.

Crystal structure
a b c (Å): 8.3378 8.3328 5.8903
angles (deg): 69.35 69.26 41.38
Sites, in units of the cell vectors:
Ce: 0.2465 0.7535 0.7535
Ce: 0.2500 0.2500 0.2500
Ce: 0.7500 0.7500 0.7500
Ce: 0.7535 0.2465 0.2465
Ni: 0.3324 0.3324 0.6676
Ni: 0.6676 0.6676 0.3324
Ge: 0.1718 0.1718 0.8282
Ge: 0.1751 0.6526 0.3474
Ge: 0.3474 0.8249 0.1751
Ge: 0.6526 0.1751 0.8249
Ge: 0.8249 0.3474 0.6526
Ge: 0.8282 0.8282 0.1718

Most intense lines, 15 to 90 degrees two-theta, low angle first:
2θ 24.7, d 3.611, rel. 10
2θ 32.8, d 2.727, rel. 100
2θ 43.4, d 2.085, rel. 41
2θ 43.5, d 2.080, rel. 14
2θ 50.6, d 1.803, rel. 5
2θ 55.5, d 1.656, rel. 22
2θ 63.1, d 1.472, rel. 26
2θ 68.8, d 1.364, rel. 3
2θ 73.0, d 1.297, rel. 19
2θ 73.1, d 1.294, rel. 10
2θ 79.7, d 1.204, rel. 6
2θ 89.0, d 1.100, rel. 6



# 9
For Ce2NiGe3, a crystal structure in Alexandria, relaxed with GGA-PBE gives the computed PXRD pattern in this record (Cu Kα).
Intensities are scaled so that the largest is 100.

Crystal structure
a b c (Å): 4.1164 4.2300 7.1819
angles (deg): 90.00 90.00 90.00
Sites, in units of the cell vectors:
Ce: 0.0000 0.0000 0.0000
Ce: 0.0000 0.5000 0.4930
Ni: 0.5000 0.0000 0.3184
Ge: 0.5000 0.0000 0.6430
Ge: 0.5000 0.5000 0.1782
Ge: 0.5000 0.5000 0.8302

Most intense lines, 15 to 90 degrees two-theta, low angle first:
2θ 24.4, d 3.645, rel. 11
2θ 32.8, d 2.729, rel. 100
2θ 33.1, d 2.706, rel. 50
2θ 42.8, d 2.115, rel. 22
2θ 43.4, d 2.083, rel. 40
2θ 44.0, d 2.058, rel. 20
2θ 55.1, d 1.666, rel. 23
2θ 55.9, d 1.646, rel. 10
2θ 63.0, d 1.475, rel. 14
2θ 63.5, d 1.464, rel. 25
2θ 72.0, d 1.311, rel. 10
2θ 73.3, d 1.291, rel. 9



# 10
For CeNi3Ge, a crystal structure in Alexandria, relaxed with GGA-PBE gives the computed PXRD pattern in this record (Cu Kα).
Intensities are scaled so that the largest is 100.

Crystal structure
a b c (Å): 5.0055 6.8863 4.7647
angles (deg): 90.00 90.00 90.00
Sites, in units of the cell vectors:
Ce: 0.0000 0.0000 0.0000
Ce: 0.5000 0.5000 0.0000
Ni: 0.0000 0.5000 0.0000
Ni: 0.0861 0.1744 0.5000
Ni: 0.4139 0.6744 0.5000
Ni: 0.5000 0.0000 0.0000
Ni: 0.5861 0.3256 0.5000
Ni: 0.9139 0.8256 0.5000
Ge: 0.0000 0.5000 0.5000
Ge: 0.5000 0.0000 0.5000

Most intense lines, 15 to 90 degrees two-theta, low angle first:
2θ 25.9, d 3.443, rel. 67
2θ 28.9, d 3.085, rel. 46
2θ 32.1, d 2.791, rel. 78
2θ 35.9, d 2.503, rel. 80
2θ 37.8, d 2.382, rel. 100
2θ 44.8, d 2.024, rel. 44
2θ 46.3, d 1.959, rel. 28
2θ 47.6, d 1.911, rel. 82
2θ 48.9, d 1.863, rel. 30
2θ 53.1, d 1.726, rel. 50
2θ 60.0, d 1.543, rel. 38
2θ 75.2, d 1.264, rel. 21



# 11
For CeNi5Ge3, a crystal structure in Alexandria, relaxed with GGA-PBE gives the computed PXRD pattern in this record (Cu Kα).
Intensities are scaled so that the largest is 100.

Crystal structure
a b c (Å): 6.3473 6.3473 11.7990
angles (deg): 90.00 90.00 145.52
Sites, in units of the cell vectors:
Ce: 0.1599 0.8401 0.7500
Ce: 0.8401 0.1599 0.2500
Ni: 0.0000 0.0000 0.0000
Ni: 0.0000 0.0000 0.5000
Ni: 0.1936 0.8064 0.0646
Ni: 0.1936 0.8064 0.4354
Ni: 0.4482 0.5518 0.6446
Ni: 0.4482 0.5518 0.8554
Ni: 0.5518 0.4482 0.1446
Ni: 0.5518 0.4482 0.3554
Ni: 0.8064 0.1936 0.5646
Ni: 0.8064 0.1936 0.9354
Ge: 0.1159 0.8841 0.2500
Ge: 0.3807 0.6193 0.0450
Ge: 0.3807 0.6193 0.4550
Ge: 0.6193 0.3807 0.5450
Ge: 0.6193 0.3807 0.9550
Ge: 0.8841 0.1159 0.7500

Most intense lines, 15 to 90 degrees two-theta, low angle first:
2θ 30.3, d 2.950, rel. 27
2θ 30.4, d 2.936, rel. 30
2θ 32.5, d 2.754, rel. 40
2θ 33.8, d 2.653, rel. 100
2θ 36.0, d 2.495, rel. 97
2θ 37.5, d 2.401, rel. 27
2θ 39.5, d 2.280, rel. 69
2θ 44.4, d 2.038, rel. 34
2θ 47.2, d 1.926, rel. 49
2θ 48.4, d 1.881, rel. 69
2θ 50.4, d 1.810, rel. 29
2θ 57.6, d 1.600, rel. 32



# 12
For Ce11Ni4Ge6, a crystal structure in Alexandria, relaxed with GGA-PBE gives the computed PXRD pattern in this record (Cu Kα).
Intensities are scaled so that the largest is 100.

Crystal structure
a b c (Å): 9.1564 9.1564 13.7090
angles (deg): 107.65 107.65 26.83
Sites, in units of the cell vectors:
Ce: 0.0000 0.0000 0.0000
Ce: 0.0962 0.0962 0.2810
Ce: 0.1449 0.1449 0.8479
Ce: 0.2164 0.2164 0.5989
Ce: 0.3473 0.3473 0.9125
Ce: 0.4474 0.4474 0.3701
Ce: 0.5526 0.5526 0.6299
Ce: 0.6527 0.6527 0.0875
Ce: 0.7836 0.7836 0.4011
Ce: 0.8551 0.8551 0.1521
Ce: 0.9038 0.9038 0.7190
Ni: 0.0591 0.0591 0.4735
Ni: 0.2455 0.2455 0.0481
Ni: 0.7545 0.7545 0.9519
Ni: 0.9409 0.9409 0.5265
Ge: 0.2612 0.2612 0.2355
Ge: 0.3726 0.3726 0.5509
Ge: 0.4827 0.4827 0.1495
Ge: 0.5173 0.5173 0.8505
Ge: 0.6274 0.6274 0.4491
Ge: 0.7388 0.7388 0.7645

Most intense lines, 15 to 90 degrees two-theta, low angle first:
2θ 25.9, d 3.446, rel. 23
2θ 28.7, d 3.109, rel. 33
2θ 30.4, d 2.945, rel. 25
2θ 31.0, d 2.882, rel. 32
2θ 31.9, d 2.801, rel. 100
2θ 33.3, d 2.692, rel. 50
2θ 33.8, d 2.655, rel. 48
2θ 34.4, d 2.609, rel. 43
2θ 34.6, d 2.595, rel. 29
2θ 35.1, d 2.554, rel. 23
2θ 36.2, d 2.479, rel. 38
2θ 42.6, d 2.125, rel. 59



# 13
For Ce2Ni3Ge, a crystal structure in Alexandria, relaxed with GGA-PBE gives the computed PXRD pattern in this record (Cu Kα).
Intensities are scaled so that the largest is 100.

Crystal structure
a b c (Å): 8.3627 8.0992 5.5584
angles (deg): 72.84 67.73 39.43
Sites, in units of the cell vectors:
Ce: 0.2410 0.7590 0.7590
Ce: 0.2500 0.2500 0.2500
Ce: 0.7500 0.7500 0.7500
Ce: 0.7590 0.2410 0.2410
Ni: 0.1679 0.1679 0.8321
Ni: 0.1688 0.6632 0.3368
Ni: 0.3368 0.8312 0.1688
Ni: 0.6632 0.1688 0.8312
Ni: 0.8312 0.3368 0.6632
Ni: 0.8321 0.8321 0.1679
Ge: 0.3342 0.3342 0.6658
Ge: 0.6658 0.6658 0.3342

Most intense lines, 15 to 90 degrees two-theta, low angle first:
2θ 24.5, d 3.630, rel. 10
2θ 34.9, d 2.570, rel. 100
2θ 43.1, d 2.099, rel. 16
2θ 43.3, d 2.091, rel. 32
2θ 50.1, d 1.822, rel. 10
2θ 56.7, d 1.625, rel. 16
2θ 56.8, d 1.620, rel. 8
2θ 68.2, d 1.376, rel. 8
2θ 68.3, d 1.374, rel. 16
2θ 73.7, d 1.285, rel. 8
2θ 73.9, d 1.282, rel. 8
2θ 84.0, d 1.152, rel. 7